Starting from a PBE+U-relaxed structure, the powder diffraction line list of Cs2NpWO6 was calculated for Cu Kα (weighted mean of Kα1 and Kα2).
Kinematic intensities with the Lorentz-polarization factor, no thermal factor.

Top 10 peaks for 2θ = 10–80°, low angle first:
| d [Å] | 2theta | Rel. int. |
| --- | --- | --- |
| 5.921 | 14.96 | 9 |
| 3.395 | 26.25 | 100 |
| 2.960 | 30.19 | 21 |
| 2.931 | 30.50 | 32 |
| 2.083 | 43.45 | 21 |
| 2.072 | 43.68 | 17 |
| 1.782 | 51.27 | 18 |
| 1.769 | 51.67 | 32 |
| 1.698 | 54.01 | 16 |
| 1.351 | 69.58 | 15 |

Structural model:
```
data_Cs2NpWO6
_chemical_formula_sum 'Cs2 Np1 W1 O6'
_symmetry_space_group_name_H-M 'P 1'
_symmetry_Int_Tables_number 1
_symmetry_space_group_name_Hall 'P 1'
_cell_length_a 7.227
_cell_length_b 7.227
_cell_length_c 7.227
_cell_angle_alpha 132.15
_cell_angle_beta 132.15
_cell_angle_gamma 69.99
loop_
_atom_site_label
_atom_site_fract_x
_atom_site_fract_y
_atom_site_fract_z
_atom_site_occupancy
Cs1 0.250 0.750 0.500 1
Cs2 0.750 0.250 0.500 1
Np1 0.000 0.000 0.000 1
W1 0.500 0.500 0.000 1
O1 0.158 0.158 0.000 1
O2 0.268 0.268 0.536 1
O3 0.268 0.732 0.000 1
O4 0.732 0.268 0.000 1
O5 0.732 0.732 0.464 1
O6 0.842 0.842 0.000 1
```